This entry pairs a crystal structure of Rb2CaNd2W4O16 with its simulated XRD peak list. Radiation: Cu Kα (weighted mean of Kα1 and Kα2). Structure: a cell relaxed with PBE+U.

Structural model:
```
Rb2CaNd2W4O16
1.0
6.751 0.000 0.000
2.210 7.436 0.000
2.819 1.100 7.783
Rb Ca Nd W O
2 1 2 4 16
direct
0.000 0.000 0.000
0.399 0.325 0.263
0.280 0.502 0.646
0.452 0.824 0.290
0.920 0.500 0.030
0.511 0.662 0.836
0.525 0.152 0.840
0.873 0.162 0.465
0.874 0.663 0.467
0.168 0.051 0.407
0.176 0.654 0.409
0.219 0.655 0.886
0.221 0.282 0.878
0.458 0.934 0.814
0.534 0.052 0.065
0.548 0.677 0.566
0.552 0.257 0.577
0.553 0.646 0.064
0.573 0.383 0.867
0.810 0.922 0.445
0.826 0.072 0.729
0.836 0.687 0.243
0.842 0.630 0.726
0.843 0.272 0.235
0.936 0.404 0.481
```

The 10 most intense peaks (2θ from 5° to 70°), low angle first:
2θ/deg	I (rel.)	(hkl)
15.46	96	1 0 1
23.16	97	1 0 2
24.28	71	1 2 1
25.16	76	1 2 0
25.27	80	0 2 1
28.86	79	2 0 0
30.52	100	1 0 -2
30.75	70	1 2 -1
32.79	83	1 -2 1
33.02	76	2 2 2

This entry pairs a crystal structure of Li4VO3F2 with its simulated XRD peak list. Radiation: Cu Kα (weighted mean of Kα1 and Kα2). Structure: a cell relaxed with PBE+U.

Structural model:
```
Li4VO3F2
1.0
5.077 0.000 0.000
0.856 5.056 0.000
2.362 2.075 7.040
Li V O F
8 2 6 4
direct
0.000 0.000 0.000
0.005 0.804 0.395
0.018 0.593 0.785
0.488 0.295 0.903
0.500 0.500 0.500
0.512 0.705 0.097
0.982 0.407 0.215
0.995 0.196 0.605
0.499 0.945 0.698
0.501 0.055 0.302
0.253 0.231 0.751
0.266 0.069 0.167
0.284 0.852 0.548
0.716 0.148 0.452
0.734 0.931 0.833
0.747 0.769 0.249
0.251 0.447 0.347
0.255 0.662 0.942
0.745 0.338 0.058
0.749 0.553 0.653
```

The 10 most intense peaks (2θ from 5° to 70°), low angle first:
2θ/deg	I (rel.)	(hkl)
18.29	68	0 1 0
18.41	100	1 0 0
19.06	36	0 1 1
25.02	43	1 1 0
27.05	55	1 -1 0
42.87	90	1 1 -2
43.34	80	-1 2 1
44.14	78	2 1 3
62.77	46	-2 1 3
63.64	43	1 0 5